# TlSbO3
Calculated powder diffractogram, a wavelength of 1.5418 Å. Input: a structure optimized by DFT (GGA-PBE).
Lines closer than 0.1° are merged.

Cell and atoms:
```
TlSbO3
1.0
5.4137 0.0000 0.0000
-2.7069 4.6884 0.0000
0.0000 0.0000 15.0438
Tl Sb O
4 4 12
direct
0.3333 0.6667 0.0737
0.3333 0.6667 0.4263
0.6667 0.3333 0.5737
0.6667 0.3333 0.9263
0.0000 0.0000 0.2500
0.0000 0.0000 0.7500
0.3333 0.6667 0.7500
0.6667 0.3333 0.2500
0.0509 0.3333 0.6748
0.0509 0.7176 0.8252
0.2824 0.3333 0.8252
0.2824 0.9491 0.6748
0.3333 0.0509 0.1748
0.3333 0.2824 0.3252
0.6667 0.7176 0.6748
0.6667 0.9491 0.8252
0.7176 0.0509 0.3252
0.7176 0.6667 0.1748
0.9491 0.2824 0.1748
0.9491 0.6667 0.3252
```

The 10 most intense peaks (10° ≤ 2θ ≤ 90°), in order of rising 2θ:
| index | 2θ/deg | I/Imax |
| --- | --- | --- |
| 1 0 2 | 22.34 | 251 |
| 1 0 3 | 26.02 | 1000 |
| 1 1 0 | 33.09 | 478 |
| 0 0 6 | 35.81 | 99 |
| 2 0 3 | 42.57 | 263 |
| 1 1 6 | 49.56 | 374 |
| 2 1 3 | 54.96 | 258 |
| 3 0 0 | 59.11 | 126 |
| 3 0 6 | 71.08 | 96 |
| 4 -1 3 | 75.54 | 103 |